Computed X-ray diffraction stick pattern of KLaMo2O8 for Cu Kα X-rays, from DFT lattice parameters and positions (GGA+U).

Cell and atoms:
Cell: 7.617 7.617 8.194 Å, 116.82 116.82 85.53°
Fractional positions:
K 0.073 0.927 0.750
K 0.927 0.073 0.250
La 0.476 0.524 0.750
La 0.524 0.476 0.250
Mo 0.042 0.551 0.234
Mo 0.449 0.958 0.266
Mo 0.551 0.042 0.734
Mo 0.958 0.449 0.766
O 0.091 0.810 0.390
O 0.139 0.541 0.726
O 0.166 0.462 0.037
O 0.190 0.909 0.110
O 0.269 0.468 0.380
O 0.459 0.861 0.774
O 0.462 0.166 0.537
O 0.468 0.269 0.880
O 0.532 0.731 0.120
O 0.538 0.834 0.463
O 0.541 0.139 0.226
O 0.731 0.532 0.620
O 0.810 0.091 0.890
O 0.834 0.538 0.963
O 0.861 0.459 0.274
O 0.909 0.190 0.610

Peak list (10 most intense, 5° ≤ 2θ ≤ 70°, sorted by position)
| d (Å) | Position (°2θ) | I (rel.) |
| --- | --- | --- |
| 6.713 | 13.19 | 53 |
| 3.445 | 25.86 | 44 |
| 3.356 | 26.56 | 100 |
| 3.232 | 27.60 | 54 |
| 3.190 | 27.97 | 63 |
| 3.173 | 28.13 | 17 |
| 2.614 | 34.31 | 16 |
| 2.019 | 44.89 | 24 |
| 1.922 | 47.29 | 23 |
| 1.828 | 49.89 | 21 |